Diffraction record for NiI2O6. The X-ray powder pattern is computed, not measured: it uses a structure optimized by DFT (PBE+U) and Cu Kα, 1.54184 Å.

Structural model:
```
NiI2O6
1.0
5.477 0.000 0.000
0.000 5.321 0.000
-0.039 0.000 9.337
Ni I O
2 4 12
Direct
0.232 0.000 0.247 Ni
0.768 0.500 0.753 Ni
0.264 0.426 0.566 I
0.273 0.898 0.900 I
0.727 0.398 0.100 I
0.736 0.926 0.434 I
0.021 0.768 0.378 O
0.094 0.708 0.771 O
0.144 0.783 0.069 O
0.350 0.212 0.419 O
0.441 0.214 0.099 O
0.468 0.281 0.701 O
0.532 0.781 0.299 O
0.559 0.714 0.901 O
0.650 0.712 0.581 O
0.856 0.283 0.931 O
0.906 0.208 0.229 O
0.979 0.268 0.622 O
```

Principal peaks in the range 2θ = 10–80°, in order of rising 2θ:
2theta	intensity	h k l
25.18	81	1 1 -1
25.24	100	1 1 1
25.38	84	0 1 2
30.23	26	1 1 -2
32.70	31	2 0 0
33.04	27	1 0 -3
33.17	30	1 0 3
33.69	22	0 2 0
47.66	27	2 2 0
47.96	52	1 2 3
54.02	18	3 1 1
54.60	17	2 1 4